Diffraction record for Nd4SmAl4. The XRD peak list is simulated, not measured: it uses a cell relaxed with PBE and Cu Kα.
Peak positions follow from Bragg's law for the DFT cell and can differ from measured ones.

Structure:
Cell lengths 8.920, 8.920, 6.092 Å; angles 90.00, 90.00, 90.00 degrees
Space group P4_2/n (No. 86, origin choice 2)
Asymmetric unit:
Nd 0.079 0.824 0.128 [8 per cell]
Sm 0.250 0.250 0.750 [2 per cell]
Al 0.061 0.159 0.349 [8 per cell]

Main lines, low angle first (2θ from 15° to 90°):
- 2θ = 17.6°, rel. 62.8, hkl 1 0 1
- 2θ = 26.7°, rel. 59.0, hkl 2 1 1
- 2θ = 31.0°, rel. 85.3, hkl 1 0 2
- 2θ = 31.7°, rel. 100.0, hkl 3 1 0
- 2θ = 32.0°, rel. 42.3, hkl 2 2 1
- 2θ = 33.5°, rel. 77.1, hkl 3 0 1
- 2θ = 35.1°, rel. 47.6, hkl 1 3 1
- 2θ = 39.3°, rel. 57.0, hkl 2 3 1



Diffraction record for Nd4Sm15Al. The XRD peak list is simulated, not measured: it uses a cell relaxed with PBE and Cu Kα.
Peak positions follow from Bragg's law for the DFT cell and can differ from measured ones.

Structure:
Cell lengths 5.071, 5.071, 25.679 Å; angles 90.00, 90.00, 90.00 degrees
Space group P4/mmm (No. 123)
Asymmetric unit:
Nd 0.000 0.000 0.101 [2 per cell]
Nd 0.000 0.000 0.305 [2 per cell]
Sm 0.000 0.500 0.000 [2 per cell]
Sm 0.000 0.500 0.204 [4 per cell]
Sm 0.000 0.500 0.408 [4 per cell]
Sm 0.500 0.500 0.102 [2 per cell]
Sm 0.500 0.500 0.307 [2 per cell]
Sm 0.500 0.500 0.500 [1 per cell]
Al 0.000 0.000 0.500 [1 per cell]

Main lines, low angle first (2θ from 15° to 90°):
- 2θ = 30.4°, rel. 100.0, hkl 1 1 5
- 2θ = 34.9°, rel. 16.1, hkl 0 0 10
- 2θ = 35.4°, rel. 34.1, hkl 2 0 0
- 2θ = 50.6°, rel. 22.5, hkl 2 0 10
- 2θ = 50.9°, rel. 12.2, hkl 2 2 0
- 2θ = 59.9°, rel. 12.0, hkl 1 1 15
- 2θ = 60.5°, rel. 28.4, hkl 3 1 5
- 2θ = 63.3°, rel. 11.5, hkl 2 2 10



Diffraction record for NdSmYAl. The XRD peak list is simulated, not measured: it uses a cell relaxed with PBE and Cu Kα.
Peak positions follow from Bragg's law for the DFT cell and can differ from measured ones.

Structure:
Cell lengths 7.710, 7.710, 7.710 Å; angles 90.00, 90.00, 90.00 degrees
Space group F-43m (No. 216)
Asymmetric unit:
Nd 0.000 0.000 0.000 [4 per cell]
Sm 0.000 0.000 0.500 [4 per cell]
Y 0.250 0.250 0.250 [4 per cell]
Al 0.250 0.250 0.750 [4 per cell]

Main lines, low angle first (2θ from 15° to 90°):
- 2θ = 23.1°, rel. 21.8, hkl 2 0 0
- 2θ = 32.9°, rel. 100.0, hkl 2 2 0
- 2θ = 40.5°, rel. 6.9, hkl 2 2 2
- 2θ = 47.2°, rel. 18.1, hkl 4 0 0
- 2θ = 53.1°, rel. 9.6, hkl 4 2 0
- 2θ = 58.7°, rel. 37.5, hkl 4 2 2
- 2θ = 68.9°, rel. 11.5, hkl 4 4 0
- 2θ = 78.5°, rel. 16.0, hkl 6 2 0



Diffraction record for Tb4NdAl4. The XRD peak list is simulated, not measured: it uses a cell relaxed with PBE and Cu Kα.
Peak positions follow from Bragg's law for the DFT cell and can differ from measured ones.

Structure:
Cell lengths 8.891, 8.891, 5.836 Å; angles 90.00, 90.00, 90.00 degrees
Space group P4_2/n (No. 86, origin choice 2)
Asymmetric unit:
Tb 0.085 0.824 0.145 [8 per cell]
Nd 0.250 0.250 0.750 [2 per cell]
Al 0.055 0.156 0.336 [8 per cell]

Main lines, low angle first (2θ from 15° to 90°):
- 2θ = 18.2°, rel. 46.1, hkl 1 0 1
- 2θ = 27.1°, rel. 64.2, hkl 1 2 1
- 2θ = 31.8°, rel. 82.3, hkl 3 1 0
- 2θ = 32.3°, rel. 100.0, hkl 1 0 2
- 2θ = 33.9°, rel. 71.6, hkl 3 0 1
- 2θ = 35.4°, rel. 34.1, hkl 1 3 1
- 2θ = 39.7°, rel. 59.0, hkl 2 3 1
- 2θ = 52.8°, rel. 28.6, hkl 4 1 2



Diffraction record for TbNd4Al4. The XRD peak list is simulated, not measured: it uses a cell relaxed with PBE and Cu Kα.
Peak positions follow from Bragg's law for the DFT cell and can differ from measured ones.

Structure:
Cell lengths 8.907, 8.907, 6.073 Å; angles 90.00, 90.00, 90.00 degrees
Space group P4_2/n (No. 86, origin choice 2)
Asymmetric unit:
Tb 0.250 0.250 0.250 [2 per cell]
Nd 0.078 0.824 0.626 [8 per cell]
Al 0.062 0.160 0.853 [8 per cell]

Main lines, low angle first (2θ from 15° to 90°):
- 2θ = 17.7°, rel. 66.3, hkl 1 0 1
- 2θ = 26.8°, rel. 56.7, hkl 2 1 1
- 2θ = 31.1°, rel. 82.4, hkl 1 0 2
- 2θ = 31.8°, rel. 100.0, hkl 3 1 0
- 2θ = 32.0°, rel. 42.3, hkl 2 2 1
- 2θ = 33.6°, rel. 76.0, hkl 3 0 1
- 2θ = 35.1°, rel. 47.3, hkl 1 3 1
- 2θ = 39.4°, rel. 56.1, hkl 2 3 1



Diffraction record for Tb7NdAl4. The XRD peak list is simulated, not measured: it uses a cell relaxed with PBE and Cu Kα.
Peak positions follow from Bragg's law for the DFT cell and can differ from measured ones.

Structure:
Cell lengths 13.933, 5.532, 10.479 Å; angles 90.00, 124.47, 90.00 degrees
Space group C2/m (No. 12)
Asymmetric unit:
Tb 0.000 0.000 0.000 [2 per cell]
Tb 0.066 0.500 0.390 [4 per cell]
Tb 0.202 0.000 0.645 [4 per cell]
Tb 0.210 0.500 0.877 [4 per cell]
Nd 0.000 0.500 0.000 [2 per cell]
Al 0.054 0.000 0.762 [4 per cell]
Al 0.177 0.000 0.332 [4 per cell]

Main lines, low angle first (2θ from 15° to 90°):
- 2θ = 23.7°, rel. 70.7, hkl 1 1 -2
- 2θ = 26.6°, rel. 72.5, hkl 4 0 -1
- 2θ = 28.9°, rel. 59.4, hkl 4 0 -3
- 2θ = 30.5°, rel. 82.5, hkl 1 1 2
- 2θ = 30.8°, rel. 73.9, hkl 3 1 -3
- 2θ = 32.4°, rel. 100.0, hkl 0 2 0
- 2θ = 38.0°, rel. 47.6, hkl 5 1 -1
- 2θ = 42.4°, rel. 44.0, hkl 4 2 -1



Diffraction record for Tb4Nd3Al. The XRD peak list is simulated, not measured: it uses a cell relaxed with PBE and Cu Kα.
Peak positions follow from Bragg's law for the DFT cell and can differ from measured ones.

Structure:
Cell lengths 3.596, 3.596, 19.333 Å; angles 90.00, 90.00, 90.00 degrees
Space group P4/mmm (No. 123)
Asymmetric unit:
Tb 0.000 0.000 0.097 [2 per cell]
Tb 0.000 0.000 0.366 [2 per cell]
Nd 0.500 0.500 0.232 [2 per cell]
Nd 0.500 0.500 0.500 [1 per cell]
Al 0.500 0.500 0.000 [1 per cell]

Main lines, low angle first (2θ from 15° to 90°):
- 2θ = 28.4°, rel. 20.0, hkl 1 0 3
- 2θ = 31.0°, rel. 100.0, hkl 1 0 4
- 2θ = 35.3°, rel. 44.0, hkl 1 1 0
- 2θ = 48.7°, rel. 16.9, hkl 1 1 7
- 2θ = 50.8°, rel. 15.7, hkl 2 0 0
- 2θ = 58.4°, rel. 17.0, hkl 1 0 11
- 2θ = 60.7°, rel. 29.5, hkl 2 1 4
- 2θ = 81.0°, rel. 13.3, hkl 2 1 11



Diffraction record for TbNd4Al. The XRD peak list is simulated, not measured: it uses a cell relaxed with PBE and Cu Kα.
Peak positions follow from Bragg's law for the DFT cell and can differ from measured ones.

Structure:
Cell lengths 3.620, 3.620, 14.524 Å; angles 90.00, 90.00, 90.00 degrees
Space group P4/mmm (No. 123)
Asymmetric unit:
Tb 0.000 0.000 0.000 [1 per cell]
Nd 0.000 0.000 0.364 [2 per cell]
Nd 0.500 0.500 0.178 [2 per cell]
Al 0.500 0.500 0.500 [1 per cell]

Main lines, low angle first (2θ from 15° to 90°):
- 2θ = 27.5°, rel. 17.3, hkl 1 0 2
- 2θ = 30.8°, rel. 100.0, hkl 1 0 3
- 2θ = 35.1°, rel. 37.7, hkl 1 1 0
- 2θ = 47.3°, rel. 12.4, hkl 1 1 5
- 2θ = 50.4°, rel. 13.2, hkl 2 0 0
- 2θ = 52.0°, rel. 13.2, hkl 1 1 6
- 2θ = 56.7°, rel. 12.8, hkl 1 0 8
- 2θ = 60.3°, rel. 32.6, hkl 2 1 3



Diffraction record for Tb3Nd2Al3. The XRD peak list is simulated, not measured: it uses a cell relaxed with PBE and Cu Kα.
Peak positions follow from Bragg's law for the DFT cell and can differ from measured ones.

Structure:
Cell lengths 4.849, 4.862, 8.979 Å; angles 90.00, 90.00, 90.00 degrees
Space group Pmmm (No. 47)
Asymmetric unit:
Tb 0.000 0.000 0.000 [1 per cell]
Tb 0.000 0.500 0.278 [2 per cell]
Nd 0.500 0.000 0.266 [2 per cell]
Al 0.000 0.000 0.500 [1 per cell]
Al 0.500 0.500 0.000 [1 per cell]
Al 0.500 0.500 0.500 [1 per cell]

Main lines, low angle first (2θ from 15° to 90°):
- 2θ = 19.8°, rel. 14.9, hkl 0 0 2
- 2θ = 26.0°, rel. 18.1, hkl 1 1 0
- 2θ = 32.8°, rel. 100.0, hkl 1 1 2
- 2θ = 37.0°, rel. 19.3, hkl 0 2 0
- 2θ = 37.1°, rel. 19.1, hkl 2 0 0
- 2θ = 55.8°, rel. 18.3, hkl 2 0 4
- 2θ = 64.0°, rel. 14.5, hkl 1 3 2
- 2θ = 64.2°, rel. 14.4, hkl 3 1 2



Diffraction record for Nd2ThAl4. The XRD peak list is simulated, not measured: it uses a cell relaxed with PBE and Cu Kα.
Peak positions follow from Bragg's law for the DFT cell and can differ from measured ones.

Structure:
Cell lengths 4.322, 4.346, 19.386 Å; angles 90.00, 90.00, 90.00 degrees
Space group Immm (No. 71)
Asymmetric unit:
Nd 0.000 0.000 0.186 [4 per cell]
Th 0.000 0.500 0.500 [2 per cell]
Al 0.000 0.000 0.361 [4 per cell]
Al 0.000 0.500 0.065 [4 per cell]

Main lines, low angle first (2θ from 15° to 90°):
- 2θ = 20.9°, rel. 35.0, hkl 0 1 1
- 2θ = 24.8°, rel. 70.1, hkl 1 0 3
- 2θ = 27.6°, rel. 26.5, hkl 0 0 6
- 2θ = 30.6°, rel. 100.0, hkl 1 1 2
- 2θ = 30.9°, rel. 61.8, hkl 0 1 5
- 2θ = 34.6°, rel. 26.1, hkl 1 1 4
- 2θ = 38.6°, rel. 23.5, hkl 1 0 7
- 2θ = 52.9°, rel. 27.5, hkl 2 1 5



Diffraction record for NdTh3Al8. The XRD peak list is simulated, not measured: it uses a cell relaxed with PBE and Cu Kα.
Peak positions follow from Bragg's law for the DFT cell and can differ from measured ones.

Structure:
Cell lengths 5.7062, 5.7062, 27.8373 Å; angles 90.00, 90.00, 120.00 degrees
Space group R3m (No. 160, hexagonal axes)
Asymmetric unit:
Nd 0.0000 0.0000 0.0000 [3 per cell]
Th 0.0000 0.0000 0.3749 [3 per cell]
Th 0.0000 0.0000 0.4999 [3 per cell]
Th 0.0000 0.0000 0.8747 [3 per cell]
Al 0.0000 0.0000 0.1877 [3 per cell]
Al 0.0000 0.0000 0.6874 [3 per cell]
Al 0.0009 0.5005 0.4375 [9 per cell]
Al 0.0006 0.5003 0.9371 [9 per cell]

Main lines, low angle first (2θ from 15° to 90°):
- 2θ = 19.1°, rel. 72.2, hkl 0 0 6
- 2θ = 31.4°, rel. 100.0, hkl 1 1 0
- 2θ = 37.0°, rel. 69.4, hkl 1 1 6
- 2θ = 37.1°, rel. 22.7, hkl 1 0 10
- 2θ = 45.0°, rel. 10.4, hkl 2 0 8
- 2θ = 49.3°, rel. 14.8, hkl 1 2 2
- 2θ = 55.8°, rel. 30.4, hkl 3 0 0
- 2θ = 59.6°, rel. 23.5, hkl 3 0 6



Diffraction record for Nd3AlTl2. The XRD peak list is simulated, not measured: it uses a cell relaxed with PBE and Cu Kα.
Peak positions follow from Bragg's law for the DFT cell and can differ from measured ones.

Structure:
Cell lengths 3.816, 3.816, 11.774 Å; angles 90.00, 90.00, 90.00 degrees
Space group P4/mmm (No. 123)
Asymmetric unit:
Nd 0.000 0.000 0.000 [1 per cell]
Nd 0.000 0.000 0.345 [2 per cell]
Al 0.500 0.500 0.500 [1 per cell]
Tl 0.500 0.500 0.171 [2 per cell]

Main lines, low angle first (2θ from 15° to 90°):
- 2θ = 24.5°, rel. 9.2, hkl 1 0 1
- 2θ = 27.9°, rel. 10.9, hkl 1 0 2
- 2θ = 32.7°, rel. 100.0, hkl 1 0 3
- 2θ = 33.2°, rel. 49.1, hkl 1 1 0
- 2θ = 47.7°, rel. 18.0, hkl 2 0 0
- 2θ = 58.1°, rel. 18.5, hkl 1 1 6
- 2θ = 59.0°, rel. 37.4, hkl 2 1 3
- 2θ = 68.6°, rel. 11.3, hkl 2 0 6



Diffraction record for Nd3Tm12Al. The XRD peak list is simulated, not measured: it uses a cell relaxed with PBE and Cu Kα.
Peak positions follow from Bragg's law for the DFT cell and can differ from measured ones.

Structure:
Cell lengths 4.913, 4.913, 19.846 Å; angles 90.00, 90.00, 90.00 degrees
Space group P4/mmm (No. 123)
Asymmetric unit:
Nd 0.000 0.000 0.000 [1 per cell]
Nd 0.000 0.000 0.254 [2 per cell]
Tm 0.000 0.500 0.128 [4 per cell]
Tm 0.000 0.500 0.385 [4 per cell]
Tm 0.500 0.500 0.000 [1 per cell]
Tm 0.500 0.500 0.259 [2 per cell]
Tm 0.500 0.500 0.500 [1 per cell]
Al 0.000 0.000 0.500 [1 per cell]

Main lines, low angle first (2θ from 15° to 90°):
- 2θ = 31.4°, rel. 100.0, hkl 1 1 4
- 2θ = 36.2°, rel. 15.9, hkl 0 0 8
- 2θ = 36.6°, rel. 34.3, hkl 2 0 0
- 2θ = 52.4°, rel. 22.2, hkl 2 0 8
- 2θ = 52.7°, rel. 12.1, hkl 2 2 0
- 2θ = 62.2°, rel. 11.6, hkl 1 1 12
- 2θ = 62.7°, rel. 28.9, hkl 3 1 4
- 2θ = 65.6°, rel. 11.3, hkl 2 2 8